Diffraction record for Ba2Ce2Ti2FeSi8O26. The PXRD pattern is theoretical, not measured: it uses a structure optimized by DFT (GGA+U) and CuKα.
Lines closer than 0.1° are merged.

Structure:
a b c (Å): 10.663 9.827 11.770
angles (deg): 90.00 109.04 90.00
Space group C2 (No. 5)
Symmetry-distinct sites (fractional):
Ba  0.248  0.000  0.497 [4 per cell]
Ce  0.178  0.745  0.952 [4 per cell]
Ti  0.047  0.750  0.626 [4 per cell]
Fe  0.000  0.348  0.000 [2 per cell]
Si  0.102  0.446  0.780 [4 per cell]
Si  0.110  0.050  0.788 [4 per cell]
Si  0.125  0.252  0.266 [4 per cell]
Si  0.195  0.746  0.255 [4 per cell]
O  0.000  0.615  0.500 [2 per cell]
O  0.000  0.884  0.500 [2 per cell]
O  0.042  0.114  0.279 [4 per cell]
O  0.048  0.387  0.300 [4 per cell]
O  0.096  0.745  0.118 [4 per cell]
O  0.097  0.886  0.767 [4 per cell]
O  0.102  0.610  0.769 [4 per cell]
O  0.133  0.748  0.363 [4 per cell]
O  0.137  0.394  0.918 [4 per cell]
O  0.142  0.268  0.135 [4 per cell]
O  0.173  0.092  0.927 [4 per cell]
O  0.203  0.112  0.710 [4 per cell]
O  0.207  0.384  0.717 [4 per cell]
O  0.234  0.745  0.625 [4 per cell]

Principal peaks in the range 10 to 80 degrees two-theta, by angle:
hkl 2 0 -2, 2θ 19.53, I = 63
hkl 0 2 1, 2θ 19.75, I = 100
hkl 3 1 -1, 2θ 26.69, I = 59
hkl 2 2 1, 2θ 28.29, I = 76
hkl 0 2 3, 2θ 30.19, I = 65
hkl 2 2 -3, 2θ 30.79, I = 66